Simulated powder diffractogram
Compound: B5C7
Radiation: CuKα
Structure: a crystal structure in Alexandria, relaxed with GGA-PBE

Lattice parameters (Å, degrees): 3.733 11.407 3.735 90.00 90.89 90.00
Space group C2 (No. 5)
One atom of each set of equivalent atoms:
B1 0.000 0.000 0.000 x2
B2 0.213 0.385 0.712 x4
B3 0.245 0.236 0.257 x4
C1 0.000 0.142 0.500 x2
C2 0.000 0.317 0.000 x2
C3 0.000 0.491 0.500 x2
C4 0.000 0.642 0.000 x2
C5 0.000 0.816 0.500 x2
C6 0.238 0.568 0.262 x4

Peak list (12 most intense, 2θ from 10° to 80°, low angle first)
- 15.54°, I = 6
- 23.83°, I = 4
- 25.10°, I = 5
- 31.37°, I = 11
- 34.62°, I = 2
- 41.42°, I = 93
- 41.88°, I = 100
- 67.39°, I = 1
- 67.72°, I = 1
- 70.73°, I = 48
- 70.83°, I = 13
- 72.11°, I = 11

=====

Simulated powder diffractogram
Compound: B5C7
Radiation: CuKα
Structure: a crystal structure in Alexandria, relaxed with GGA-PBE

Lattice parameters (Å, degrees): 13.203 2.587 4.695 90.00 103.14 90.00
Space group Cm (No. 8)
One atom of each set of equivalent atoms:
B1 0.000 0.000 0.000 x2
B2 0.004 0.500 0.485 x2
B3 0.142 0.500 0.315 x2
B4 0.153 0.500 0.667 x2
B5 0.287 0.500 0.508 x2
C1 0.122 0.000 0.113 x2
C2 0.181 0.000 0.886 x2
C3 0.298 0.000 0.003 x2
C4 0.333 0.500 0.198 x2
C5 0.341 0.000 0.721 x2
C6 0.449 0.500 0.283 x2
C7 0.455 0.000 0.779 x2

Peak list (12 most intense, 2θ from 10° to 80°, low angle first)
- 13.77°, I = 8
- 19.41°, I = 14
- 26.36°, I = 5
- 38.68°, I = 5
- 41.48°, I = 100
- 42.17°, I = 38
- 43.02°, I = 37
- 47.68°, I = 3
- 69.58°, I = 19
- 70.81°, I = 22
- 73.16°, I = 12
- 76.27°, I = 8

=====

Simulated powder diffractogram
Compound: B5C7
Radiation: CuKα
Structure: a crystal structure in Alexandria, relaxed with GGA-PBE

Lattice parameters (Å, degrees): 2.443 2.560 12.526 90.00 90.00 90.00
Space group Pmm2 (No. 25)
One atom of each set of equivalent atoms:
B1 0.000 0.000 0.000 x1
B2 0.000 0.000 0.311 x1
B3 0.000 0.000 0.656 x1
B4 0.500 0.000 0.546 x1
B5 0.500 0.000 0.890 x1
C1 0.000 0.500 0.079 x1
C2 0.000 0.500 0.396 x1
C3 0.000 0.500 0.739 x1
C4 0.500 0.000 0.221 x1
C5 0.500 0.500 0.152 x1
C6 0.500 0.500 0.463 x1
C7 0.500 0.500 0.807 x1

Peak list (12 most intense, 2θ from 10° to 80°, low angle first)
- 14.14°, I = 8
- 21.28°, I = 34
- 35.06°, I = 2
- 41.38°, I = 100
- 42.89°, I = 90
- 56.92°, I = 5
- 69.71°, I = 50
- 74.08°, I = 12
- 75.63°, I = 2
- 78.17°, I = 8
- 78.25°, I = 11
- 79.21°, I = 6

=====

Simulated powder diffractogram
Compound: BC
Radiation: CuKα
Structure: a crystal structure in Alexandria, relaxed with GGA-PBE

Lattice parameters (Å, degrees): 16.970 2.725 4.696 90.00 104.32 90.00
Space group C2/m (No. 12)
One atom of each set of equivalent atoms:
B1 0.023 0.000 0.240 x4
B2 0.127 0.500 0.122 x4
B3 0.128 0.000 0.623 x4
C1 0.019 0.500 0.687 x4
C2 0.115 0.500 0.778 x4
C3 0.120 0.000 0.282 x4

Peak list (12 most intense, 2θ from 10° to 80°, low angle first)
- 10.76°, I = 100
- 21.62°, I = 19
- 32.68°, I = 1
- 39.62°, I = 9
- 39.96°, I = 11
- 43.84°, I = 3
- 44.06°, I = 8
- 44.61°, I = 4
- 68.71°, I = 1
- 68.92°, I = 2
- 69.24°, I = 5
- 70.31°, I = 2